[1]
Theoretical X-ray powder pattern of Zr2Ti2Mo for Cu Ka, from DFT lattice parameters and positions (PBE).
Intensities are scaled so that the largest is 100.

Top 10 peaks for 2θ = 10–80°, by angle:
Position (°2θ), d/Å, intensity, h k l
26.92, 3.312, 30, 1 1 1
33.55, 2.671, 40, 2 0 1
36.46, 2.464, 100, 2 1 1
36.93, 2.434, 39, 0 0 2
39.90, 2.259, 10, 2 2 0
44.85, 2.021, 36, 3 1 0
59.45, 1.555, 30, 3 1 2
62.94, 1.477, 14, 4 1 1
64.79, 1.439, 8, 3 3 1
66.23, 1.411, 16, 2 1 3

Cell and atoms:
a b c (Å): 6.3902 6.3902 4.8681
angles (deg): 90.00 90.00 90.00
Space group P4/mbm (No. 127)
Symmetry-distinct sites (fractional):
Zr1 0.1682 0.3318 0.0000
Ti1 0.1476 0.6476 0.5000
Mo1 0.0000 0.0000 0.5000

[2]
Theoretical X-ray powder pattern of LiCeMg11 for Cu Ka, from DFT lattice parameters and positions (PBE).
Intensities are scaled so that the largest is 100.

Top 10 peaks for 2θ = 10–80°, by angle:
Position (°2θ), d/Å, intensity, h k l
12.14, 7.289, 72, 0 0 1
17.51, 5.066, 41, 1 1 0
24.91, 3.574, 33, 1 1 -2
27.38, 3.258, 41, 0 4 1
30.10, 2.969, 35, 1 3 1
30.45, 2.936, 47, 1 3 -2
34.80, 2.578, 100, 0 4 2
35.01, 2.563, 43, 1 5 0
35.44, 2.533, 39, 2 2 0
35.84, 2.506, 36, 2 2 -2

Cell and atoms:
a b c (Å): 5.7764 14.5586 7.7967
angles (deg): 90.00 110.71 90.00
Space group C2/m (No. 12)
Symmetry-distinct sites (fractional):
Li1 0.0000 0.0000 0.0000
Ce1 0.0000 0.5000 0.5000
Mg1 0.0000 0.5000 0.0000
Mg2 0.1005 0.1053 0.7163
Mg3 0.1768 0.3253 0.8541
Mg4 0.2500 0.2500 0.5000

[3]
Theoretical X-ray powder pattern of AcPmYTm for Cu Ka, from DFT lattice parameters and positions (PBE).
Intensities are scaled so that the largest is 100.

Top 10 peaks for 2θ = 10–80°, by angle:
Position (°2θ), d/Å, intensity, h k l
18.56, 4.780, 6, 1 1 1
21.47, 4.140, 3, 2 0 0
30.54, 2.927, 100, 2 2 0
35.98, 2.496, 4, 3 1 1
43.73, 2.070, 19, 4 0 0
47.89, 1.899, 2, 3 3 1
49.22, 1.851, 2, 4 2 0
54.28, 1.690, 40, 4 2 2
63.57, 1.464, 12, 4 4 0
72.16, 1.309, 17, 6 2 0

Cell and atoms:
a b c (Å): 8.2792 8.2792 8.2792
angles (deg): 90.00 90.00 90.00
Space group F-43m (No. 216)
Symmetry-distinct sites (fractional):
Ac1 0.0000 0.0000 0.0000
Pm1 0.0000 0.0000 0.5000
Y1 0.2500 0.2500 0.7500
Tm1 0.2500 0.2500 0.2500